No. 1
The following is a calculated X-ray diffraction stick pattern of HoNiGe2Ru. It was derived from the GGA-PBE geometry in Alexandria, using Cu Kα X-rays.
Kinematic intensities with the Lorentz-polarization factor, no thermal factor.

Largest 10 diffraction maxima, by angle, 2θ from 10° to 90°:
- 2θ = 34.05°, I 72
- 2θ = 35.92°, I 100
- 2θ = 45.02°, I 54
- 2θ = 49.15°, I 29
- 2θ = 57.62°, I 32
- 2θ = 62.56°, I 17
- 2θ = 65.56°, I 17
- 2θ = 68.84°, I 21
- 2θ = 77.08°, I 21
- 2θ = 89.48°, I 15

Structure:
```
HoNiGe2Ru
1.0
-2.014 2.014 5.220
2.014 -2.014 5.220
2.014 2.014 -5.220
Ho Ni Ge Ru
1 1 2 1
Cartesian
0.000 0.000 0.000 Ho
0.000 2.014 2.610 Ni
0.000 0.000 3.945 Ge
0.000 0.000 6.495 Ge
2.014 0.000 2.610 Ru
```

---

No. 2
The following is a calculated X-ray diffraction stick pattern of Y16Mg3AlNi4. It was derived from the GGA-PBE geometry in Alexandria, using Cu Kα X-rays.
Kinematic intensities with the Lorentz-polarization factor, no thermal factor.

Largest 10 diffraction maxima, by angle, 2θ from 10° to 90°:
- 2θ = 11.25°, I 20
- 2θ = 28.51°, I 39
- 2θ = 32.13°, I 54
- 2θ = 32.30°, I 17
- 2θ = 34.15°, I 100
- 2θ = 34.27°, I 33
- 2θ = 37.23°, I 22
- 2θ = 37.41°, I 21
- 2θ = 57.23°, I 24
- 2θ = 57.50°, I 24

Structure:
```
Y16Mg3AlNi4
1.0
4.830 2.789 7.834
-4.830 2.789 7.834
0.000 -5.577 7.834
Y Mg Al Ni
16 3 1 4
Cartesian
0.000 -2.190 3.189 Y
-1.897 1.095 3.189 Y
0.000 0.000 0.175 Y
-1.842 -1.063 9.798 Y
0.000 -2.090 6.846 Y
-1.810 1.045 6.846 Y
1.897 1.095 3.189 Y
0.000 -2.068 12.737 Y
-1.791 1.034 12.737 Y
-1.774 -1.024 15.668 Y
1.810 1.045 6.846 Y
1.842 -1.063 9.798 Y
0.000 2.127 9.798 Y
1.791 1.034 12.737 Y
1.774 -1.024 15.668 Y
0.000 2.049 15.668 Y
-3.316 -1.914 12.803 Mg
3.316 -1.914 12.803 Mg
0.000 3.829 12.803 Mg
0.000 0.000 18.132 Al
0.000 0.000 4.962 Ni
0.000 -3.166 9.430 Ni
-2.742 1.583 9.430 Ni
2.742 1.583 9.430 Ni
```

---

No. 3
The following is a calculated X-ray diffraction stick pattern of Zr2Ga6Pt. It was derived from the GGA-PBE geometry in Alexandria, using Cu Kα X-rays.
Kinematic intensities with the Lorentz-polarization factor, no thermal factor.

Largest 10 diffraction maxima, by angle, 2θ from 10° to 90°:
- 2θ = 14.04°, I 49
- 2θ = 32.27°, I 70
- 2θ = 34.06°, I 33
- 2θ = 34.59°, I 29
- 2θ = 40.90°, I 74
- 2θ = 42.15°, I 24
- 2θ = 43.02°, I 100
- 2θ = 45.68°, I 28
- 2θ = 75.95°, I 21
- 2θ = 76.55°, I 21

Structure:
```
Zr2Ga6Pt
1.0
3.439 -7.897 0.000
3.439 7.897 0.000
0.000 0.000 3.089
Zr Ga Pt
2 6 1
Cartesian
3.439 4.578 0.000 Zr
3.439 -4.578 0.000 Zr
2.161 2.306 1.544 Ga
1.306 0.000 0.000 Ga
2.161 -2.306 1.544 Ga
4.717 2.306 1.544 Ga
5.572 0.000 0.000 Ga
4.717 -2.306 1.544 Ga
3.439 0.000 1.544 Pt
```

---

No. 4
The following is a calculated X-ray diffraction stick pattern of Tb2CuIrO6. It was derived from the GGA-PBE geometry in Alexandria, using Cu Kα X-rays.
Kinematic intensities with the Lorentz-polarization factor, no thermal factor.

Largest 10 diffraction maxima, by angle, 2θ from 10° to 90°:
- 2θ = 19.47°, I 17
- 2θ = 22.40°, I 15
- 2θ = 31.64°, I 97
- 2θ = 32.14°, I 100
- 2θ = 45.73°, I 43
- 2θ = 51.16°, I 24
- 2θ = 56.99°, I 40
- 2θ = 57.30°, I 27
- 2θ = 67.24°, I 13
- 2θ = 76.22°, I 15

Structure:
```
Tb2CuIrO6
1.0
2.785 1.608 4.654
-2.785 1.608 4.654
0.000 -3.216 4.654
Tb Cu Ir O
2 1 1 6
Cartesian
0.000 0.000 0.000 Tb
0.000 0.000 6.913 Tb
0.000 0.000 3.151 Cu
0.000 0.000 9.954 Ir
-1.053 -1.904 6.315 O
-1.588 0.189 8.685 O
-1.123 1.864 6.315 O
0.630 -1.470 8.685 O
2.176 0.040 6.315 O
0.958 1.281 8.685 O
```

---

No. 5
The following is a calculated X-ray diffraction stick pattern of TbGdFe4. It was derived from the GGA-PBE geometry in Alexandria, using Cu Kα X-rays.
Kinematic intensities with the Lorentz-polarization factor, no thermal factor.

Largest 10 diffraction maxima, by angle, 2θ from 10° to 90°:
- 2θ = 21.09°, I 16
- 2θ = 34.78°, I 67
- 2θ = 41.04°, I 100
- 2θ = 42.95°, I 14
- 2θ = 54.86°, I 4
- 2θ = 62.36°, I 25
- 2θ = 66.61°, I 30
- 2θ = 73.43°, I 22
- 2θ = 83.88°, I 11
- 2θ = 87.73°, I 11

Structure:
```
TbGdFe4
1.0
0.000 3.647 3.647
3.647 0.000 3.647
3.647 3.647 0.000
Tb Gd Fe
1 1 4
Cartesian
0.000 0.000 0.000 Tb
5.471 5.471 5.471 Gd
2.734 2.734 2.734 Fe
4.561 4.561 2.734 Fe
4.561 2.734 4.561 Fe
2.734 4.561 4.561 Fe
```

---

No. 6
The following is a calculated X-ray diffraction stick pattern of CaBe2Pt. It was derived from the GGA-PBE geometry in Alexandria, using Cu Kα X-rays.
Kinematic intensities with the Lorentz-polarization factor, no thermal factor.

Largest 10 diffraction maxima, by angle, 2θ from 10° to 90°:
- 2θ = 15.80°, I 34
- 2θ = 21.32°, I 100
- 2θ = 27.39°, I 59
- 2θ = 28.26°, I 85
- 2θ = 28.66°, I 64
- 2θ = 31.77°, I 73
- 2θ = 35.09°, I 72
- 2θ = 40.69°, I 72
- 2θ = 52.74°, I 39
- 2θ = 60.50°, I 34

Structure:
```
CaBe2Pt
1.0
3.821 0.000 0.000
0.000 6.229 0.000
0.000 0.000 5.610
Ca Be Pt
2 4 2
Cartesian
0.955 1.557 0.538 Ca
2.865 4.671 5.072 Ca
0.955 0.332 3.250 Be
0.955 2.783 3.250 Be
2.865 3.446 2.360 Be
2.865 5.897 2.360 Be
0.955 4.671 1.917 Pt
2.865 1.557 3.693 Pt
```

---

No. 7
The following is a calculated X-ray diffraction stick pattern of AlVAu3. It was derived from the GGA-PBE geometry in Alexandria, using Cu Kα X-rays.
Kinematic intensities with the Lorentz-polarization factor, no thermal factor.

Largest 10 diffraction maxima, by angle, 2θ from 10° to 90°:
- 2θ = 25.32°, I 60
- 2θ = 30.10°, I 32
- 2θ = 32.63°, I 39
- 2θ = 33.22°, I 44
- 2θ = 33.86°, I 48
- 2θ = 38.22°, I 51
- 2θ = 38.60°, I 100
- 2θ = 39.82°, I 75
- 2θ = 40.09°, I 77
- 2θ = 57.61°, I 36

Structure:
```
AlVAu3
1.0
7.235 0.000 0.000
0.000 2.924 0.000
-1.908 0.000 7.941
Al V Au
2 2 6
Cartesian
-0.461 0.731 2.195 Al
5.787 2.193 5.747 Al
1.527 2.193 6.976 V
3.800 0.731 0.966 V
-0.648 0.731 7.853 Au
0.559 0.731 4.719 Au
1.886 2.193 2.508 Au
3.441 0.731 5.433 Au
4.767 2.193 3.223 Au
5.975 2.193 0.089 Au
```

---

No. 8
The following is a calculated X-ray diffraction stick pattern of Be2PbSeO8. It was derived from the GGA-PBE geometry in Alexandria, using Cu Kα X-rays.
Kinematic intensities with the Lorentz-polarization factor, no thermal factor.

Largest 10 diffraction maxima, by angle, 2θ from 10° to 90°:
- 2θ = 21.86°, I 100
- 2θ = 25.37°, I 43
- 2θ = 33.77°, I 69
- 2θ = 38.35°, I 26
- 2θ = 40.53°, I 21
- 2θ = 46.56°, I 45
- 2θ = 52.00°, I 22
- 2θ = 57.25°, I 16
- 2θ = 66.43°, I 21
- 2θ = 66.60°, I 14

Structure:
```
Be2PbSeO8
1.0
4.695 0.000 0.000
-2.347 4.066 0.000
0.000 0.000 7.009
Be Pb Se O
2 1 1 8
Cartesian
0.000 2.711 1.456 Be
2.347 1.355 5.554 Be
0.000 0.000 3.505 Pb
0.000 0.000 0.000 Se
-0.646 1.285 1.080 O
-0.911 3.982 1.080 O
0.790 1.202 5.929 O
0.000 2.711 3.124 O
2.347 1.355 3.885 O
1.557 2.864 1.080 O
3.259 0.083 5.929 O
2.993 2.781 5.929 O
```